For Er5Tm3Sn2, a cell relaxed with GGA-PBE gives the calculated PXRD pattern in this record (Cu Kα X-rays).
Peak positions follow from Bragg's law for the DFT cell and can differ from measured ones.

Atomic structure:
```
Er5Tm3Sn2
1.0
-6.340 7.813 3.119
6.340 -7.813 3.119
6.340 7.813 -3.119
Er Tm Sn
10 6 4
Cartesian
1.327 2.615 0.000
3.177 7.813 -1.559
0.000 0.000 1.559
3.163 0.000 1.559
7.668 5.199 0.000
-1.327 2.615 3.119
3.177 7.813 1.559
0.000 0.000 4.678
3.163 0.000 4.678
5.013 5.199 3.119
4.901 3.175 0.000
6.340 0.000 1.559
4.901 -3.175 3.119
1.440 10.988 0.000
0.000 7.813 1.559
1.440 4.638 3.119
8.107 2.275 0.000
1.767 5.538 0.000
4.573 2.275 3.119
-1.767 5.538 3.119
```

Peak list (8 most intense, 2θ = 5–70°, low angle first)
d [Å]	I (rel.)
3.198	33
2.938	97
2.896	100
2.605	65
2.462	36
2.437	37
2.223	79
1.691	42

=====

For Gd4B3C4, a cell relaxed with GGA-PBE gives the calculated PXRD pattern in this record (Cu Kα X-rays).
Peak positions follow from Bragg's law for the DFT cell and can differ from measured ones.

Atomic structure:
```
Gd4B3C4
1.0
3.644 0.000 0.000
-0.002 3.661 0.000
-1.453 -0.046 11.864
Gd B C
4 3 4
Cartesian
0.327 1.811 1.601
0.022 -0.024 7.740
2.167 3.639 4.124
1.861 1.805 10.262
0.483 1.808 5.364
1.822 0.000 0.000
1.705 1.807 6.500
0.347 1.808 3.899
0.065 -0.024 10.417
2.124 3.640 1.446
1.842 1.807 7.965
```

Peak list (8 most intense, 2θ = 5–70°, low angle first)
d [Å]	I (rel.)
3.498	68
3.270	55
2.966	64
2.934	54
2.692	46
2.681	45
2.561	100
1.822	30

=====

For CaScAgCl6, a cell relaxed with GGA-PBE gives the calculated PXRD pattern in this record (Cu Kα X-rays).
Peak positions follow from Bragg's law for the DFT cell and can differ from measured ones.

Atomic structure:
```
CaScAgCl6
1.0
6.752 0.000 0.000
-3.376 5.848 0.000
0.000 0.000 11.978
Ca Sc Ag Cl
2 2 2 12
Cartesian
0.000 3.898 2.994
3.376 1.949 8.983
0.000 3.898 8.983
3.376 1.949 2.994
0.000 0.000 0.000
0.000 0.000 5.989
-1.045 2.123 7.547
-2.060 3.881 10.419
1.045 2.123 10.419
-1.015 5.691 7.547
2.361 0.156 1.558
1.316 1.967 4.431
2.060 3.881 7.547
1.015 5.691 10.419
4.391 0.156 4.431
2.331 3.725 1.558
5.436 1.967 1.558
4.421 3.725 4.431
```

Peak list (8 most intense, 2θ = 5–70°, low angle first)
d [Å]	I (rel.)
5.848	12
4.184	100
2.941	56
2.627	28
2.240	66
2.073	29
1.949	35
1.470	15